V2H10Se2O13: simulated powder diffractogram (λ = 1.5418 Å (Cu Kα)), based on DFT lattice parameters and positions (GGA+U).

Structural model:
a b c (Å): 9.9327 9.9327 10.7787
angles (deg): 114.31 114.31 37.40
Atoms (fractional coordinates):
V 0.0671 0.6601 0.8936
V 0.3399 0.9329 0.6064
V 0.6601 0.0671 0.3936
V 0.9329 0.3399 0.1064
H 0.0457 0.5797 0.1161
H 0.1016 0.1639 0.8552
H 0.1606 0.7865 0.4499
H 0.1639 0.1016 0.3552
H 0.2135 0.8394 0.0501
H 0.3176 0.6498 0.1206
H 0.3502 0.6824 0.3794
H 0.3607 0.5487 0.7347
H 0.4203 0.9543 0.3839
H 0.4513 0.6393 0.7653
H 0.5487 0.3607 0.2347
H 0.5797 0.0457 0.6161
H 0.6393 0.4513 0.2653
H 0.6498 0.3176 0.6206
H 0.6824 0.3502 0.8794
H 0.7865 0.1606 0.9499
H 0.8361 0.8984 0.6448
H 0.8394 0.2135 0.5501
H 0.8984 0.8361 0.1448
H 0.9543 0.4203 0.8839
Se 0.0842 0.5159 0.3842
Se 0.4841 0.9158 0.1158
Se 0.5159 0.0842 0.8842
Se 0.9158 0.4841 0.6158
O 0.0098 0.2360 0.5929
O 0.0226 0.3001 0.9247
O 0.0853 0.4279 0.2057
O 0.1154 0.6490 0.7568
O 0.1915 0.7592 0.0533
O 0.2360 0.0098 0.0929
O 0.2408 0.8085 0.4467
O 0.3001 0.0226 0.4247
O 0.3510 0.8846 0.7432
O 0.3555 0.3592 0.9493
O 0.3592 0.3555 0.4493
O 0.4279 0.0853 0.7057
O 0.4994 0.5006 0.7500
O 0.5006 0.4994 0.2500
O 0.5721 0.9147 0.2943
O 0.6408 0.6445 0.5507
O 0.6445 0.6408 0.0507
O 0.6490 0.1154 0.2568
O 0.6999 0.9774 0.5753
O 0.7592 0.1915 0.5533
O 0.7640 0.9902 0.9071
O 0.8085 0.2408 0.9467
O 0.8846 0.3510 0.2432
O 0.9147 0.5721 0.7943
O 0.9774 0.6999 0.0753
O 0.9902 0.7640 0.4071

Principal peaks in the range 15° ≤ 2θ ≤ 90°, by angle:
2theta, d_spacing, Rel. int.
16.6, 5.327, 100
21.0, 4.231, 78
24.8, 3.592, 36
25.6, 3.482, 27
28.0, 3.184, 44
30.0, 2.980, 38
32.0, 2.796, 26
32.8, 2.733, 26
34.6, 2.593, 34
36.9, 2.434, 27